[1]
# Tl4GeI6
Theoretical XRD peak list, Cu Ka. Input: a structure optimized by DFT (PBE).
No peak broadening, texture or thermal motion is included.

Structural model:
a b c (Å): 9.2821 9.2821 10.3093
angles (deg): 90.00 90.00 90.00
Sites, in units of the cell vectors:
Tl 0.1516 0.3484 0.2500
Tl 0.1516 0.3484 0.7500
Tl 0.3484 0.8484 0.2500
Tl 0.3484 0.8484 0.7500
Tl 0.6516 0.1516 0.2500
Tl 0.6516 0.1516 0.7500
Tl 0.8484 0.6516 0.2500
Tl 0.8484 0.6516 0.7500
Ge 0.0000 0.0000 0.0000
Ge 0.5000 0.5000 0.5000
I 0.0000 0.0000 0.2905
I 0.0000 0.0000 0.7095
I 0.1358 0.6989 0.0000
I 0.1989 0.6358 0.5000
I 0.3011 0.1358 0.0000
I 0.3642 0.1989 0.5000
I 0.5000 0.5000 0.2095
I 0.5000 0.5000 0.7905
I 0.6358 0.8011 0.5000
I 0.6989 0.8642 0.0000
I 0.8011 0.3642 0.5000
I 0.8642 0.3011 0.0000

Peak list (12 most intense, 10° ≤ 2θ ≤ 80°, in order of rising 2θ)
- 17.20°, rel. 7
- 21.41°, rel. 6
- 27.60°, rel. 100
- 30.45°, rel. 37
- 34.81°, rel. 18
- 35.18°, rel. 8
- 41.25°, rel. 7
- 43.61°, rel. 8
- 43.90°, rel. 17
- 46.91°, rel. 17
- 56.28°, rel. 12
- 58.10°, rel. 12



[2]
# Mg14FeSn
Theoretical XRD peak list, Cu Ka. Input: a structure optimized by DFT (PBE).
No peak broadening, texture or thermal motion is included.

Structural model:
a b c (Å): 10.2431 6.2742 6.2742
angles (deg): 60.11 90.00 90.00
Sites, in units of the cell vectors:
Mg 0.0000 0.0000 0.0000
Mg 0.0000 0.0013 0.5000
Mg 0.0000 0.5000 0.0013
Mg 0.0000 0.4996 0.4996
Mg 0.2469 0.6674 0.6674
Mg 0.2565 0.1627 0.1627
Mg 0.2577 0.1623 0.6755
Mg 0.2577 0.6755 0.1623
Mg 0.5000 0.4983 0.9991
Mg 0.5000 0.9991 0.4983
Mg 0.7423 0.1623 0.6755
Mg 0.7423 0.6755 0.1623
Mg 0.7435 0.1627 0.1627
Mg 0.7531 0.6674 0.6674
Fe 0.5000 0.0003 0.0003
Sn 0.5000 0.5025 0.5025

Peak list (12 most intense, 10° ≤ 2θ ≤ 80°, in order of rising 2θ)
- 16.32°, rel. 14
- 18.49°, rel. 21
- 23.88°, rel. 12
- 32.95°, rel. 27
- 34.12°, rel. 9
- 35.04°, rel. 26
- 37.46°, rel. 100
- 48.86°, rel. 18
- 58.88°, rel. 11
- 64.43°, rel. 14
- 70.36°, rel. 19
- 71.83°, rel. 10



[3]
# Cs2InHgBr6
Theoretical XRD peak list, Cu Ka. Input: a structure optimized by DFT (PBE).
No peak broadening, texture or thermal motion is included.

Structural model:
a b c (Å): 8.0890 8.0890 8.0890
angles (deg): 60.00 60.00 60.00
Sites, in units of the cell vectors:
Cs 0.2500 0.2500 0.2500
Cs 0.7500 0.7500 0.7500
In 0.0000 0.0000 0.0000
Hg 0.5000 0.5000 0.5000
Br 0.2417 0.2417 0.7583
Br 0.2417 0.7583 0.2417
Br 0.2417 0.7583 0.7583
Br 0.7583 0.2417 0.2417
Br 0.7583 0.2417 0.7583
Br 0.7583 0.7583 0.2417

Peak list (12 most intense, 10° ≤ 2θ ≤ 80°, in order of rising 2θ)
- 15.49°, rel. 23
- 21.98°, rel. 72
- 27.00°, rel. 33
- 31.28°, rel. 100
- 35.08°, rel. 13
- 38.56°, rel. 34
- 44.82°, rel. 72
- 50.46°, rel. 16
- 53.10°, rel. 13
- 55.67°, rel. 25
- 60.57°, rel. 19
- 74.14°, rel. 32



[4]
# Mg6AlFe
Theoretical XRD peak list, Cu Ka. Input: a structure optimized by DFT (PBE).
No peak broadening, texture or thermal motion is included.

Structural model:
a b c (Å): 4.9138 6.1223 6.1223
angles (deg): 58.90 90.00 90.00
Sites, in units of the cell vectors:
Mg 0.0000 0.0000 0.0000
Mg 0.0000 0.0136 0.4993
Mg 0.0000 0.4946 0.4946
Mg 0.0000 0.4993 0.0136
Mg 0.5000 0.3394 0.8378
Mg 0.5000 0.8378 0.3394
Al 0.5000 0.8392 0.8392
Fe 0.5000 0.3394 0.3394

Peak list (12 most intense, 10° ≤ 2θ ≤ 80°, in order of rising 2θ)
- 16.91°, rel. 12
- 33.62°, rel. 12
- 34.21°, rel. 28
- 36.57°, rel. 41
- 38.42°, rel. 56
- 38.95°, rel. 100
- 50.95°, rel. 17
- 60.50°, rel. 17
- 67.07°, rel. 10
- 67.42°, rel. 18
- 72.81°, rel. 19
- 75.01°, rel. 15